(1)
Calculated powder diffractogram of Li4Ti3Mn2Ni3O16 for Cu Kα (λ = 1.5418 Å), from a PBE+U-relaxed structure.
Neutral-atom scattering factors, no anomalous dispersion.

Peak list (12 most intense, 5° ≤ 2θ ≤ 70°, sorted by position)
h k l, 2θ (°), intensity
0 0 2, 18.82, 100
2 0 -1, 19.61, 32
1 1 -1, 19.78, 62
2 0 1, 20.04, 100
3 1 -2, 35.67, 33
0 2 2, 36.19, 29
3 1 2, 36.49, 30
2 2 -1, 36.62, 30
4 0 1, 36.89, 46
2 2 -3, 45.70, 41
2 2 3, 46.37, 36
6 2 0, 63.49, 48

Crystal structure
a b c (Å): 10.168 5.839 9.435
angles (deg): 90.00 91.62 90.00
Space group Cm (No. 8)
Inequivalent atoms, fractional coordinates:
Li: 0.000 0.000 0.000 x2
Li: 0.009 0.000 0.505 x2
Li: 0.160 0.500 0.095 x2
Li: 0.329 0.000 0.601 x2
Ti: 0.327 0.500 0.780 x2
Ti: 0.409 0.248 0.283 x4
Mn: 0.158 0.500 0.514 x2
Mn: 0.326 0.000 0.009 x2
Ni: 0.083 0.254 0.784 x4
Ni: 0.168 0.000 0.284 x2
O: 0.002 0.000 0.694 x2
O: 0.019 0.500 0.650 x2
O: 0.074 0.259 0.398 x4
O: 0.161 0.500 0.886 x2
O: 0.162 0.000 0.901 x2
O: 0.241 0.286 0.645 x4
O: 0.261 0.223 0.145 x4
O: 0.326 0.500 0.391 x2
O: 0.339 0.000 0.394 x2
O: 0.403 0.250 0.896 x4
O: 0.474 0.000 0.153 x2
O: 0.492 0.500 0.189 x2

---

(2)
Calculated powder diffractogram of K2FeH2OF5 for Cu Kα (λ = 1.5418 Å), from a PBE+U-relaxed structure.
Neutral-atom scattering factors, no anomalous dispersion.

Peak list (12 most intense, 5° ≤ 2θ ≤ 70°, sorted by position)
h k l, 2θ (°), intensity
1 1 -1, 17.47, 100
1 1 1, 18.76, 68
1 1 -2, 25.82, 22
2 2 0, 28.62, 39
3 1 0, 29.23, 23
2 0 2, 30.53, 51
0 2 2, 31.79, 26
1 3 0, 34.72, 39
4 0 0, 36.26, 23
1 1 3, 38.05, 39
0 4 1, 46.70, 21
5 3 0, 57.92, 21

Crystal structure
a b c (Å): 9.976 8.029 7.949
angles (deg): 90.00 96.61 90.00
Space group C2/c (No. 15)
Inequivalent atoms, fractional coordinates:
K: 0.203 0.001 0.037 x8
Fe: 0.000 0.297 0.250 x4
H: 0.027 0.376 0.654 x8
O: 0.000 0.445 0.750 x4
F: 0.000 0.054 0.250 x4
F: 0.075 0.296 0.491 x8
F: 0.183 0.304 0.187 x8

---

(3)
Calculated powder diffractogram of Li9Co2O8 for Cu Kα (λ = 1.5418 Å), from a PBE+U-relaxed structure.
Neutral-atom scattering factors, no anomalous dispersion.

Peak list (12 most intense, 5° ≤ 2θ ≤ 70°, sorted by position)
h k l, 2θ (°), intensity
2 0 0, 19.52, 46
0 2 0, 19.73, 32
1 1 -1, 23.23, 94
1 1 1, 23.46, 100
2 2 0, 27.89, 46
2 2 -1, 33.63, 25
2 2 1, 33.96, 31
3 1 1, 36.76, 31
1 3 1, 36.87, 19
3 3 1, 46.89, 20
4 0 2, 56.40, 33
4 4 0, 57.63, 25

Crystal structure
a b c (Å): 9.098 9.001 4.743
angles (deg): 90.00 90.82 90.00
Space group C2 (No. 5)
Inequivalent atoms, fractional coordinates:
Li: 0.000 0.000 0.000 x2
Li: 0.000 0.095 0.500 x2
Li: 0.000 0.614 0.000 x2
Li: 0.217 0.320 0.504 x4
Li: 0.226 0.569 0.567 x4
Li: 0.247 0.072 0.928 x4
Co: 0.000 0.315 0.000 x2
Co: 0.000 0.811 0.500 x2
O: 0.115 0.185 0.210 x4
O: 0.118 0.440 0.811 x4
O: 0.130 0.695 0.301 x4
O: 0.132 0.953 0.672 x4

---

(4)
Calculated powder diffractogram of Li9Mn2Co5O16 for Cu Kα (λ = 1.5418 Å), from a PBE+U-relaxed structure.
Neutral-atom scattering factors, no anomalous dispersion.

Peak list (12 most intense, 5° ≤ 2θ ≤ 70°, sorted by position)
h k l, 2θ (°), intensity
4 0 0, 18.50, 100
0 0 2, 35.93, 15
2 2 -1, 36.14, 27
8 0 0, 37.53, 8
2 2 1, 37.79, 8
4 0 2, 43.65, 27
6 2 -1, 43.82, 54
6 2 1, 47.96, 10
10 2 -1, 57.85, 10
10 2 1, 63.52, 14
2 2 -3, 63.62, 15
6 2 -3, 66.88, 9

Crystal structure
a b c (Å): 19.487 5.815 5.077
angles (deg): 90.00 100.02 90.00
Space group C2/m (No. 12)
Inequivalent atoms, fractional coordinates:
Li: 0.000 0.000 0.000 x2
Li: 0.118 0.000 0.757 x4
Li: 0.120 0.244 0.242 x8
Li: 0.120 0.500 0.748 x4
Mn: 0.249 0.000 0.499 x4
Co: 0.000 0.243 0.500 x4
Co: 0.000 0.500 0.000 x2
Co: 0.250 0.250 0.000 x4
O: 0.055 0.271 0.866 x8
O: 0.056 0.500 0.356 x4
O: 0.059 0.000 0.396 x4
O: 0.192 0.000 0.142 x4
O: 0.193 0.252 0.603 x8
O: 0.194 0.500 0.145 x4